This entry pairs a crystal structure of MoPb3N3 with its computed PXRD pattern. Radiation: copper Kα. Structure: the GGA-PBE geometry in the Materials Project.
No peak broadening, texture or thermal motion is included.

Peak list (8 most intense, 10 to 90 degrees two-theta, in order of rising 2θ)
12.05 deg, intensity 95.0; 26.70 deg, intensity 100.0; 29.36 deg, intensity 96.7; 32.12 deg, intensity 55.1; 32.24 deg, intensity 54.6; 32.38 deg, intensity 53.7; 33.17 deg, intensity 78.5; 46.88 deg, intensity 71.7

Atomic structure:
a b c (Å): 8.4535 5.4018 8.4733
angles (deg): 90.00 119.57 90.00
Positions (direct):
Mo 0.1679 0.2500 0.3348
Mo 0.8321 0.7500 0.6652
Pb 0.0857 0.2500 0.8824
Pb 0.2055 0.7500 0.5878
Pb 0.3838 0.7500 0.2960
Pb 0.6162 0.2500 0.7040
Pb 0.7945 0.2500 0.4122
Pb 0.9143 0.7500 0.1176
N 0.0174 0.7500 0.9052
N 0.1102 0.2500 0.5193
N 0.4095 0.2500 0.3905
N 0.5905 0.7500 0.6095
N 0.8898 0.7500 0.4807
N 0.9826 0.2500 0.0948

---

This entry pairs a crystal structure of Sc with its computed PXRD pattern. Radiation: copper Kα. Structure: the GGA-PBE geometry in the Materials Project.
No peak broadening, texture or thermal motion is included.

Peak list (8 most intense, 10 to 90 degrees two-theta, in order of rising 2θ)
34.65 deg, intensity 48.1; 34.80 deg, intensity 94.0; 35.45 deg, intensity 100.0; 35.92 deg, intensity 46.7; 50.29 deg, intensity 15.0; 50.76 deg, intensity 28.4; 63.34 deg, intensity 21.4; 69.48 deg, intensity 23.0

Atomic structure:
a b c (Å): 10.8830 5.0005 6.4014
angles (deg): 90.00 125.97 90.00
Positions (direct):
Sc 0.0000 0.0005 0.2500
Sc 0.0000 0.9995 0.7500
Sc 0.1668 0.4807 0.1643
Sc 0.1668 0.5193 0.6643
Sc 0.3332 0.0193 0.8357
Sc 0.3332 0.9807 0.3357
Sc 0.5000 0.5005 0.2500
Sc 0.5000 0.4995 0.7500
Sc 0.6668 0.0193 0.6643
Sc 0.6668 0.9807 0.1643
Sc 0.8332 0.4807 0.3357
Sc 0.8332 0.5193 0.8357

---

This entry pairs a crystal structure of CsPb2Cl5 with its computed PXRD pattern. Radiation: copper Kα. Structure: the GGA-PBE geometry in the Materials Project.
No peak broadening, texture or thermal motion is included.

Peak list (8 most intense, 10 to 90 degrees two-theta, in order of rising 2θ)
11.54 deg, intensity 78.7; 19.08 deg, intensity 36.8; 23.20 deg, intensity 29.1; 24.45 deg, intensity 55.8; 24.75 deg, intensity 52.4; 29.81 deg, intensity 100.0; 34.28 deg, intensity 47.5; 38.12 deg, intensity 54.8

Atomic structure:
a b c (Å): 9.6434 9.6434 9.6434
angles (deg): 129.20 129.20 74.69
Positions (direct):
Cs 0.2500 0.2500 0.0000
Cs 0.7500 0.7500 0.0000
Pb 0.1697 0.6697 0.8395
Pb 0.3303 0.1697 0.5000
Pb 0.6697 0.8303 0.5000
Pb 0.8303 0.3303 0.1605
Cl 0.0000 0.0000 0.0000
Cl 0.0325 0.2237 0.5000
Cl 0.2237 0.7237 0.1913
Cl 0.2763 0.4675 0.5000
Cl 0.4675 0.9675 0.1913
Cl 0.5000 0.5000 0.0000
Cl 0.5325 0.0325 0.8087
Cl 0.7237 0.5325 0.5000
Cl 0.7763 0.2763 0.8087
Cl 0.9675 0.7763 0.5000

---

This entry pairs a crystal structure of KCuO with its computed PXRD pattern. Radiation: copper Kα. Structure: the GGA-PBE geometry in the Materials Project.
No peak broadening, texture or thermal motion is included.

Peak list (8 most intense, 10 to 90 degrees two-theta, in order of rising 2θ)
18.55 deg, intensity 83.0; 26.86 deg, intensity 22.2; 32.21 deg, intensity 56.6; 32.85 deg, intensity 100.0; 40.78 deg, intensity 33.4; 51.37 deg, intensity 17.7; 52.90 deg, intensity 28.8; 57.84 deg, intensity 18.1

Atomic structure:
a b c (Å): 7.1956 7.1956 7.1956
angles (deg): 98.58 98.58 134.56
Positions (direct):
K 0.0596 0.2484 0.8113
K 0.4371 0.2484 0.1887
K 0.7516 0.5629 0.8113
K 0.7516 0.9404 0.1887
Cu 0.1109 0.6109 0.2218
Cu 0.1109 0.8891 0.5000
Cu 0.3891 0.6109 0.5000
Cu 0.3891 0.8891 0.7782
O 0.2611 0.0378 0.7766
O 0.2611 0.4845 0.2234
O 0.5155 0.7389 0.7766
O 0.9622 0.7389 0.2234

---

This entry pairs a crystal structure of CeSBr with its computed PXRD pattern. Radiation: copper Kα. Structure: the GGA-PBE geometry in the Materials Project.
No peak broadening, texture or thermal motion is included.

Peak list (8 most intense, 10 to 90 degrees two-theta, in order of rising 2θ)
22.00 deg, intensity 74.9; 24.82 deg, intensity 25.9; 25.62 deg, intensity 40.9; 30.92 deg, intensity 26.7; 31.59 deg, intensity 100.0; 35.97 deg, intensity 42.7; 42.06 deg, intensity 23.3; 43.07 deg, intensity 20.6

Atomic structure:
a b c (Å): 6.9544 13.7552 7.1732
angles (deg): 90.00 90.00 90.00
Positions (direct):
Ce 0.2409 0.0906 0.0325
Ce 0.2409 0.4094 0.5325
Ce 0.2591 0.5906 0.0325
Ce 0.2591 0.9094 0.5325
Ce 0.7409 0.0906 0.4675
Ce 0.7409 0.4094 0.9675
Ce 0.7591 0.5906 0.4675
Ce 0.7591 0.9094 0.9675
S 0.0010 0.0255 0.7417
S 0.0010 0.4745 0.2417
S 0.4990 0.5255 0.7417
S 0.4990 0.9745 0.2417
S 0.5010 0.0255 0.7583
S 0.5010 0.4745 0.2583
S 0.9990 0.5255 0.7583
S 0.9990 0.9745 0.2583
Br 0.1810 0.7012 0.4018
Br 0.1810 0.7988 0.9018
Br 0.3190 0.2012 0.4018
Br 0.3190 0.2988 0.9018
Br 0.6810 0.7012 0.0982
Br 0.6810 0.7988 0.5982
Br 0.8190 0.2012 0.0982
Br 0.8190 0.2988 0.5982

---

This entry pairs a crystal structure of K3SbBr6 with its computed PXRD pattern. Radiation: copper Kα. Structure: the GGA-PBE geometry in the Materials Project.
No peak broadening, texture or thermal motion is included.

Peak list (8 most intense, 10 to 90 degrees two-theta, in order of rising 2θ)
12.92 deg, intensity 26.9; 14.93 deg, intensity 62.0; 26.01 deg, intensity 61.3; 30.12 deg, intensity 100.0; 33.78 deg, intensity 31.2; 43.12 deg, intensity 70.2; 51.05 deg, intensity 24.4; 71.04 deg, intensity 28.1

Atomic structure:
a b c (Å): 8.3917 8.3917 8.3917
angles (deg): 60.00 60.00 60.00
Positions (direct):
K 0.0000 0.0000 0.0000
K 0.2500 0.2500 0.2500
K 0.7500 0.7500 0.7500
Sb 0.5000 0.5000 0.5000
Br 0.2635 0.2635 0.7365
Br 0.2635 0.7365 0.2635
Br 0.2635 0.7365 0.7365
Br 0.7365 0.2635 0.2635
Br 0.7365 0.2635 0.7365
Br 0.7365 0.7365 0.2635